# CrPO4
Computed powder diffraction line list, CuKα. Input: a cell relaxed with PBE+U.

Peak list (10 most intense, 2θ = 5–70°, most intense first)
- (1 1 1), 25.49 deg, I 100
- (1 0 1), 21.34 deg, I 76
- (2 2 0), 34.67 deg, I 70
- (3 0 1), 36.23 deg, I 69
- (1 2 1), 35.28 deg, I 47
- (2 1 0), 24.66 deg, I 42
- (2 2 2), 52.36 deg, I 39
- (5 2 1), 63.78 deg, I 30
- (0 4 0), 57.37 deg, I 29
- (2 0 0), 20.35 deg, I 28

Structure:
Cell lengths 8.727, 6.426, 4.739 Å; angles 90.00, 90.00, 90.00 degrees
Space group Pnma (No. 62)
One atom of each set of equivalent atoms:
Cr  0.000  0.000  0.000
P  0.177  0.250  0.476
O  0.117  0.250  0.792
O  0.124  0.049  0.335
O  0.142  0.750  0.944

# CrPO4
Computed powder diffraction line list, CuKα. Input: a cell relaxed with PBE+U.

Peak list (10 most intense, 2θ = 5–70°, most intense first)
- (0 1 1), 15.45 deg, I 100
- (1 0 -2), 22.04 deg, I 76
- (1 1 0), 23.48 deg, I 61
- (0 4 0), 37.55 deg, I 32
- (2 0 -2), 36.20 deg, I 24
- (1 1 -3), 32.56 deg, I 23
- (0 2 1), 22.33 deg, I 21
- (1 0 0), 21.55 deg, I 15
- (2 0 0), 43.94 deg, I 14
- (1 2 1), 35.88 deg, I 13

Structure:
Cell lengths 4.965, 9.581, 8.614 Å; angles 90.00, 123.82, 90.00 degrees
Space group P2_1/c (No. 14)
One atom of each set of equivalent atoms:
Cr  0.233  0.126  0.045
P  0.405  0.089  0.750
O  0.163  0.133  0.799
O  0.239  0.595  0.560
O  0.360  0.177  0.591
O  0.391  0.572  0.212

# CrPO4
Computed powder diffraction line list, CuKα. Input: a cell relaxed with PBE+U.

Peak list (10 most intense, 2θ = 5–70°, most intense first)
- (0 1 0), 14.40 deg, I 100
- (0 0 1), 9.77 deg, I 45
- (0 1 2), 21.48 deg, I 41
- (0 1 -1), 19.26 deg, I 27
- (2 1 1), 32.85 deg, I 24
- (0 2 2), 31.10 deg, I 22
- (0 0 2), 19.62 deg, I 20
- (0 0 3), 29.61 deg, I 19
- (1 0 0), 16.16 deg, I 18
- (1 0 2), 22.84 deg, I 15

Structure:
Cell lengths 5.672, 6.411, 9.572 Å; angles 74.78, 76.52, 80.73 degrees
Space group P-1 (No. 2)
One atom of each set of equivalent atoms:
Cr  0.125  0.094  0.188
Cr  0.258  0.169  0.560
P  0.179  0.705  0.527
P  0.302  0.852  0.901
O  0.068  0.230  0.374
O  0.113  0.694  0.910
O  0.114  0.784  0.371
O  0.211  0.051  0.775
O  0.265  0.925  0.044
O  0.269  0.467  0.569
O  0.374  0.849  0.535
O  0.432  0.229  0.151

# CrP2O7
Computed powder diffraction line list, CuKα. Input: a cell relaxed with PBE+U.

Peak list (10 most intense, 2θ = 5–70°, most intense first)
- (1 0 -1), 14.66 deg, I 100
- (0 2 2), 29.50 deg, I 65
- (2 0 -2), 29.62 deg, I 49
- (1 0 1), 18.68 deg, I 43
- (1 1 2), 29.03 deg, I 40
- (1 2 -1), 26.01 deg, I 19
- (1 2 1), 28.54 deg, I 19
- (0 2 0), 21.35 deg, I 18
- (1 3 2), 42.51 deg, I 13
- (3 0 -3), 45.09 deg, I 12

Structure:
Cell lengths 6.794, 8.325, 9.099 Å; angles 90.00, 104.15, 90.00 degrees
Space group P2_1/m (No. 11)
One atom of each set of equivalent atoms:
Cr  0.250  0.064  0.250
P  0.000  0.250  0.445
P  0.085  0.750  0.026
P  0.415  0.750  0.473
P  0.498  0.750  0.943
O  0.033  0.095  0.360
O  0.092  0.598  0.117
O  0.109  0.250  0.111
O  0.129  0.250  0.606
O  0.236  0.750  0.560
O  0.261  0.750  0.936
O  0.375  0.250  0.894
O  0.393  0.250  0.388
O  0.409  0.598  0.382
O  0.468  0.095  0.140

# CrP4O12
Computed powder diffraction line list, CuKα. Input: a cell relaxed with PBE+U.

Peak list (10 most intense, 2θ = 5–70°, most intense first)
- (0 2 2), 29.56 deg, I 100
- (1 1 1), 18.99 deg, I 52
- (2 0 -2), 19.58 deg, I 44
- (3 1 -1), 24.64 deg, I 43
- (1 1 0), 13.40 deg, I 38
- (1 1 -1), 14.38 deg, I 37
- (2 2 0), 27.00 deg, I 29
- (3 1 -3), 31.46 deg, I 22
- (4 0 0), 33.44 deg, I 22
- (0 0 2), 20.38 deg, I 20

Structure:
Cell lengths 12.027, 8.387, 9.778 Å; angles 90.00, 116.97, 90.00 degrees
Space group C2/c (No. 15)
One atom of each set of equivalent atoms:
Cr  0.250  0.250  0.000
P  0.003  0.231  0.470
P  0.188  0.006  0.697
O  0.024  0.382  0.404
O  0.067  0.100  0.165
O  0.069  0.237  0.935
O  0.135  0.146  0.570
O  0.221  0.410  0.835
O  0.236  0.075  0.855

# CrP2O7
Computed powder diffraction line list, CuKα. Input: a cell relaxed with PBE+U.

Peak list (10 most intense, 2θ = 5–70°, most intense first)
- (1 1 -2), 22.39 deg, I 100
- (2 0 0), 22.82 deg, I 59
- (0 0 2), 14.89 deg, I 38
- (1 1 -4), 32.18 deg, I 23
- (0 2 0), 34.79 deg, I 16
- (1 3 -2), 55.45 deg, I 12
- (2 0 2), 32.52 deg, I 11
- (3 1 -2), 35.61 deg, I 9
- (3 2 -6), 56.99 deg, I 9
- (2 1 4), 49.22 deg, I 7

Structure:
Cell lengths 8.669, 5.159, 13.235 Å; angles 90.00, 115.97, 90.00 degrees
Space group P2_1/c (No. 14)
One atom of each set of equivalent atoms:
Cr  0.227  0.243  0.466
P  0.188  0.731  0.614
P  0.339  0.741  0.860
O  0.020  0.722  0.123
O  0.201  0.051  0.082
O  0.226  0.580  0.041
O  0.229  0.545  0.375
O  0.264  0.032  0.355
O  0.338  0.724  0.239
O  0.476  0.237  0.054